Tl2W3O9: simulated powder diffraction line list (CuKα), based on a structure optimized by DFT (GGA+U).
Neutral-atom scattering factors, no anomalous dispersion.

Structural model:
```
Tl2W3O9
1.0
4.7836 -7.8091 0.0000
4.7836 7.8091 0.0000
-4.3843 0.0000 7.7631
Tl W O
4 6 18
Cartesian
0.8555 5.3756 5.5475
4.3276 5.3756 2.2156
0.8555 -5.3756 5.5475
4.3276 -5.3756 2.2156
-0.2449 1.7246 6.1694
2.5299 0.0000 0.9126
-0.2449 -1.7246 6.1694
5.4279 1.7246 1.5936
2.6531 0.0000 6.8505
5.4279 -1.7246 1.5936
-0.7542 2.9584 4.9809
-1.9209 1.3298 7.2393
0.8812 0.0000 1.5885
-0.5806 0.0000 5.2830
-1.9209 -1.3298 7.2393
4.7836 2.7097 0.0000
3.4756 1.3324 1.9162
-0.7542 -2.9584 4.9809
1.7074 1.3324 5.8468
3.4756 -1.3324 1.9162
5.9373 2.9584 2.7822
1.7074 -1.3324 5.8468
4.7836 -2.7097 0.0000
7.1039 1.3298 0.5237
5.7636 0.0000 2.4800
4.3019 0.0000 6.1746
7.1039 -1.3298 0.5237
5.9373 -2.9584 2.7822
```

The 8 most intense peaks (10 to 90 degrees two-theta), low angle first:
| 2θ (°) | I (rel.) |
| --- | --- |
| 12.48 | 444 |
| 20.11 | 464 |
| 22.91 | 872 |
| 26.33 | 821 |
| 28.89 | 849 |
| 29.53 | 1000 |
| 32.53 | 451 |
| 41.76 | 475 |